[1]
Diffraction record for ScGaRe. The PXRD pattern is simulated, not measured: it uses a structure optimized by DFT (PBE) and CuKα.
Kinematic intensities with the Lorentz-polarization factor, no thermal factor.

Principal peaks in the range 2θ from 10° to 90°, in order of rising 2θ:
| 2θ/deg | d_spacing | I_rel |
| --- | --- | --- |
| 10.89 | 8.125 | 80 |
| 37.08 | 2.425 | 100 |
| 40.07 | 2.250 | 66 |
| 40.32 | 2.237 | 38 |
| 44.85 | 2.021 | 25 |
| 46.36 | 1.958 | 21 |
| 49.12 | 1.855 | 24 |
| 61.87 | 1.500 | 19 |
| 68.68 | 1.367 | 17 |
| 74.61 | 1.272 | 21 |

Cell and atoms:
abc: 8.270 8.270 4.042
angles: 90.00 90.00 158.51
Fractional coordinates of all 6 atoms:
Sc: 0.116 0.884 0.750
Sc: 0.884 0.116 0.250
Ga: 0.453 0.547 0.750
Ga: 0.547 0.453 0.250
Re: 0.286 0.714 0.750
Re: 0.714 0.286 0.250

***

[2]
Diffraction record for AcPr3Ho12. The PXRD pattern is simulated, not measured: it uses a structure optimized by DFT (PBE) and CuKα.
Kinematic intensities with the Lorentz-polarization factor, no thermal factor.

Principal peaks in the range 2θ from 10° to 90°, in order of rising 2θ:
| 2θ/deg | d_spacing | I_rel |
| --- | --- | --- |
| 28.14 | 3.171 | 1 |
| 30.50 | 2.931 | 100 |
| 35.37 | 2.538 | 51 |
| 50.88 | 1.795 | 36 |
| 60.49 | 1.530 | 43 |
| 63.49 | 1.465 | 12 |
| 74.82 | 1.269 | 6 |
| 82.91 | 1.164 | 18 |
| 85.57 | 1.135 | 16 |

Cell and atoms:
abc: 5.075 5.075 20.312
angles: 90.00 90.00 90.00
Fractional coordinates of all 16 atoms:
Ac: 0.000 0.000 0.000
Pr: 0.000 0.000 0.252
Pr: 0.000 0.000 0.500
Pr: 0.000 0.000 0.748
Ho: 0.000 0.500 0.129
Ho: 0.000 0.500 0.376
Ho: 0.000 0.500 0.624
Ho: 0.000 0.500 0.871
Ho: 0.500 0.000 0.129
Ho: 0.500 0.000 0.376
Ho: 0.500 0.000 0.624
Ho: 0.500 0.000 0.871
Ho: 0.500 0.500 0.000
Ho: 0.500 0.500 0.253
Ho: 0.500 0.500 0.500
Ho: 0.500 0.500 0.747

***

Repeat the second record exactly.
Diffraction record for AcPr3Ho12. The PXRD pattern is simulated, not measured: it uses a structure optimized by DFT (PBE) and CuKα.
Kinematic intensities with the Lorentz-polarization factor, no thermal factor.

Principal peaks in the range 2θ from 10° to 90°, in order of rising 2θ:
| 2θ/deg | d_spacing | I_rel |
| --- | --- | --- |
| 28.14 | 3.171 | 1 |
| 30.50 | 2.931 | 100 |
| 35.37 | 2.538 | 51 |
| 50.88 | 1.795 | 36 |
| 60.49 | 1.530 | 43 |
| 63.49 | 1.465 | 12 |
| 74.82 | 1.269 | 6 |
| 82.91 | 1.164 | 18 |
| 85.57 | 1.135 | 16 |

Cell and atoms:
abc: 5.075 5.075 20.312
angles: 90.00 90.00 90.00
Fractional coordinates of all 16 atoms:
Ac: 0.000 0.000 0.000
Pr: 0.000 0.000 0.252
Pr: 0.000 0.000 0.500
Pr: 0.000 0.000 0.748
Ho: 0.000 0.500 0.129
Ho: 0.000 0.500 0.376
Ho: 0.000 0.500 0.624
Ho: 0.000 0.500 0.871
Ho: 0.500 0.000 0.129
Ho: 0.500 0.000 0.376
Ho: 0.500 0.000 0.624
Ho: 0.500 0.000 0.871
Ho: 0.500 0.500 0.000
Ho: 0.500 0.500 0.253
Ho: 0.500 0.500 0.500
Ho: 0.500 0.500 0.747